Sr4Tm8MgO16: simulated X-ray diffraction stick pattern (Cu Kα (λ = 1.5418 Å)), based on a DFT-relaxed cell (PBE, the Materials Project).
Peak positions follow from Bragg's law for the DFT cell and can differ from measured ones.

Most intense lines, 2θ = 10–80°, most intense first:
2θ (°)  d/Å  I/Imax  h k l
31.97  2.799  100  1 1 2
30.16  2.963  81  3 0 2
31.26  2.861  76  1 1 -2
29.50  3.028  72  0 0 4
31.47  2.843  61  2 1 0
27.88  3.200  60  3 0 -2

Cell and atoms:
abc: 10.748 3.354 12.158
angles: 90.00 95.02 90.00
Element x y z (fractional)
Sr: 0.000 0.000 0.000
Sr: 0.037 0.500 0.508
Sr: 0.531 0.500 0.238
Sr: 0.575 0.000 0.724
Tm: 0.181 0.500 0.281
Tm: 0.220 0.500 0.763
Tm: 0.285 0.000 0.070
Tm: 0.347 0.000 0.540
Tm: 0.712 0.500 0.004
Tm: 0.715 0.500 0.510
Tm: 0.843 0.000 0.243
Tm: 0.881 0.000 0.740
Mg: 0.467 0.000 0.939
O: 0.010 0.500 0.800
O: 0.048 0.000 0.320
O: 0.154 0.500 0.091
O: 0.170 0.000 0.637
O: 0.260 0.500 0.449
O: 0.273 0.000 0.881
O: 0.325 0.000 0.248
O: 0.397 0.500 0.664
O: 0.421 0.500 0.052
O: 0.574 0.000 0.504
O: 0.660 0.000 0.131
O: 0.740 0.500 0.696
O: 0.763 0.500 0.335
O: 0.796 0.000 0.910
O: 0.868 0.000 0.551
O: 0.885 0.500 0.120